Record 1
Starting from a cell relaxed with PBE, the PXRD pattern of LiFe2Pb2N3 was calculated for Cu Kα (λ = 1.5418 Å).
Lines closer than 0.1° are merged.

Largest 8 diffraction maxima, by intensity, 2θ = 5–70°:
- 2.962 Å, I = 100
- 4.370 Å, I = 66
- 2.852 Å, I = 58
- 2.900 Å, I = 42
- 3.144 Å, I = 39
- 2.514 Å, I = 32
- 2.619 Å, I = 31
- 1.889 Å, I = 28

Atomic structure:
Lattice parameters (Å, degrees): 6.4851 6.4851 6.8571 91.37 91.37 121.93
Atoms (fractional coordinates):
Li (0.1664, 0.8336, 0.7500)
Li (0.8336, 0.1664, 0.2500)
Fe (0.1854, 0.5793, 0.4167)
Fe (0.4207, 0.8146, 0.0833)
Fe (0.5793, 0.1854, 0.9167)
Fe (0.8146, 0.4207, 0.5833)
Pb (0.1633, 0.3348, 0.8662)
Pb (0.3348, 0.1633, 0.3662)
Pb (0.6652, 0.8367, 0.6338)
Pb (0.8367, 0.6652, 0.1338)
N (0.0100, 0.7155, 0.4818)
N (0.2845, 0.9900, 0.0182)
N (0.3965, 0.6035, 0.2500)
N (0.6035, 0.3965, 0.7500)
N (0.7155, 0.0100, 0.9818)
N (0.9900, 0.2845, 0.5182)

---

Record 2
Starting from a cell relaxed with PBE, the PXRD pattern of Sr3Li3Fe4N4 was calculated for Cu Kα (λ = 1.5418 Å).
Lines closer than 0.1° are merged.

Largest 8 diffraction maxima, by intensity, 2θ = 5–70°:
- 2.576 Å, I = 100
- 2.702 Å, I = 84
- 3.480 Å, I = 70
- 2.613 Å, I = 65
- 2.681 Å, I = 59
- 6.502 Å, I = 52
- 3.037 Å, I = 38
- 1.527 Å, I = 36

Atomic structure:
Lattice parameters (Å, degrees): 9.3398 9.3398 9.3398 155.26 135.65 51.44
Atoms (fractional coordinates):
Sr (0.0000, 0.0000, 0.0000)
Sr (0.2214, 0.2214, 0.0000)
Sr (0.7786, 0.7786, 0.0000)
Li (0.3856, 0.8856, 0.5000)
Li (0.5000, 0.5000, 0.0000)
Li (0.6144, 0.1144, 0.5000)
Fe (0.1318, 0.3829, 0.7489)
Fe (0.3660, 0.6171, 0.7489)
Fe (0.6340, 0.3829, 0.2511)
Fe (0.8682, 0.6171, 0.2511)
N (0.1153, 0.6153, 0.5000)
N (0.3802, 0.3802, 0.0000)
N (0.6198, 0.6198, 0.0000)
N (0.8847, 0.3847, 0.5000)

---

Record 3
Starting from a cell relaxed with PBE, the PXRD pattern of LiNbFeSb was calculated for Cu Kα (λ = 1.5418 Å).
Lines closer than 0.1° are merged.

Largest 8 diffraction maxima, by intensity, 2θ = 5–70°:
- 2.180 Å, I = 100
- 3.083 Å, I = 39
- 1.542 Å, I = 16
- 1.379 Å, I = 14
- 3.560 Å, I = 12
- 1.780 Å, I = 11
- 1.859 Å, I = 5
- 1.415 Å, I = 2

Atomic structure:
Lattice parameters (Å, degrees): 4.3605 4.3605 4.3605 60.00 60.00 60.00
Atoms (fractional coordinates):
Li (0.0000, 0.0000, 0.0000)
Nb (0.7500, 0.7500, 0.7500)
Fe (0.5000, 0.5000, 0.5000)
Sb (0.2500, 0.2500, 0.2500)

---

Record 4
Starting from a cell relaxed with PBE, the PXRD pattern of LiFePb2 was calculated for Cu Kα (λ = 1.5418 Å).
Lines closer than 0.1° are merged.

Largest 8 diffraction maxima, by intensity, 2θ = 5–70°:
- 2.488 Å, I = 100
- 4.063 Å, I = 62
- 1.437 Å, I = 37
- 2.122 Å, I = 35
- 1.760 Å, I = 18
- 1.615 Å, I = 15
- 1.354 Å, I = 12
- 3.519 Å, I = 2

Atomic structure:
Lattice parameters (Å, degrees): 4.9766 4.9766 4.9766 60.00 60.00 60.00
Atoms (fractional coordinates):
Li (0.0000, 0.0000, 0.0000)
Fe (0.7500, 0.7500, 0.7500)
Pb (0.2500, 0.2500, 0.2500)
Pb (0.5000, 0.5000, 0.5000)

---

Record 5
Starting from a cell relaxed with PBE, the PXRD pattern of LiFePd was calculated for Cu Kα (λ = 1.5418 Å).
Lines closer than 0.1° are merged.

Largest 6 diffraction maxima, by intensity, 2θ = 5–70°:
- 3.319 Å, I = 100
- 2.033 Å, I = 77
- 1.733 Å, I = 44
- 1.437 Å, I = 12
- 2.875 Å, I = 10
- 1.660 Å, I = 3

Atomic structure:
Lattice parameters (Å, degrees): 4.0653 4.0653 4.0653 60.00 60.00 60.00
Atoms (fractional coordinates):
Li (0.0000, 0.0000, 0.0000)
Fe (0.2500, 0.2500, 0.2500)
Pd (0.5000, 0.5000, 0.5000)

---

Record 6
Starting from a cell relaxed with PBE, the PXRD pattern of Li2Sc2FeSn2Pd was calculated for Cu Kα (λ = 1.5418 Å).
Lines closer than 0.1° are merged.

Largest 8 diffraction maxima, by intensity, 2θ = 5–70°:
- 2.285 Å, I = 100
- 3.728 Å, I = 69
- 2.278 Å, I = 50
- 1.944 Å, I = 24
- 1.611 Å, I = 17
- 3.222 Å, I = 12
- 1.953 Å, I = 11
- 1.483 Å, I = 10

Atomic structure:
Lattice parameters (Å, degrees): 4.5569 4.5569 6.4841 90.00 90.00 90.00
Atoms (fractional coordinates):
Li (0.0000, 0.0000, 0.0000)
Li (0.5000, 0.5000, 0.5000)
Sc (0.0000, 0.5000, 0.7443)
Sc (0.5000, 0.0000, 0.2557)
Fe (0.0000, 0.0000, 0.5000)
Sn (0.0000, 0.5000, 0.2654)
Sn (0.5000, 0.0000, 0.7346)
Pd (0.5000, 0.5000, 0.0000)

---

Record 7
Starting from a cell relaxed with PBE, the PXRD pattern of Li2Y2FeSn2Pd was calculated for Cu Kα (λ = 1.5418 Å).
Lines closer than 0.1° are merged.

Largest 8 diffraction maxima, by intensity, 2θ = 5–70°:
- 2.365 Å, I = 100
- 1.365 Å, I = 34
- 3.344 Å, I = 21
- 3.862 Å, I = 19
- 1.671 Å, I = 11
- 2.017 Å, I = 10
- 1.931 Å, I = 6
- 1.675 Å, I = 5

Atomic structure:
Lattice parameters (Å, degrees): 4.7263 4.7263 6.6983 90.00 90.00 90.00
Atoms (fractional coordinates):
Li (0.0000, 0.0000, 0.0000)
Li (0.5000, 0.5000, 0.5000)
Y (0.0000, 0.5000, 0.2487)
Y (0.5000, 0.0000, 0.7513)
Fe (0.5000, 0.5000, 0.0000)
Sn (0.0000, 0.5000, 0.7640)
Sn (0.5000, 0.0000, 0.2360)
Pd (0.0000, 0.0000, 0.5000)

---

Record 8
Starting from a cell relaxed with PBE, the PXRD pattern of LiPmFe was calculated for Cu Kα (λ = 1.5418 Å).
Lines closer than 0.1° are merged.

Largest 8 diffraction maxima, by intensity, 2θ = 5–70°:
- 3.705 Å, I = 100
- 2.269 Å, I = 75
- 1.935 Å, I = 49
- 1.472 Å, I = 20
- 3.208 Å, I = 19
- 1.604 Å, I = 12
- 1.435 Å, I = 7
- 1.852 Å, I = 5

Atomic structure:
Lattice parameters (Å, degrees): 4.5372 4.5372 4.5372 60.00 60.00 60.00
Atoms (fractional coordinates):
Li (0.0000, 0.0000, 0.0000)
Pm (0.5000, 0.5000, 0.5000)
Fe (0.2500, 0.2500, 0.2500)